For CsTbV2O6, the PBE+U geometry in Alexandria gives the theoretical X-ray diffraction stick pattern in this record (copper Kα).
No peak broadening, texture or thermal motion is included.

Cell and atoms:
a = 7.542 Å, b = 7.542 Å, c = 6.124 Å
α = 99.76°, β = 99.76°, γ = 85.46°
Fractional positions:
Cs (0.179, 0.821, 0.750)
Cs (0.821, 0.179, 0.250)
Tb (0.400, 0.600, 0.250)
Tb (0.600, 0.400, 0.750)
V (0.134, 0.311, 0.826)
V (0.311, 0.134, 0.326)
V (0.689, 0.866, 0.674)
V (0.866, 0.689, 0.174)
O (0.094, 0.611, 0.234)
O (0.168, 0.177, 0.057)
O (0.177, 0.168, 0.557)
O (0.329, 0.453, 0.887)
O (0.389, 0.906, 0.266)
O (0.453, 0.329, 0.387)
O (0.547, 0.671, 0.613)
O (0.611, 0.094, 0.734)
O (0.671, 0.547, 0.113)
O (0.823, 0.832, 0.443)
O (0.832, 0.823, 0.943)
O (0.906, 0.389, 0.766)

Top 12 peaks for 5 to 70 degrees two-theta, most intense first:
- 2θ = 26.21°, I = 100.0
- 2θ = 30.34°, I = 82.6
- 2θ = 29.99°, I = 34.3
- 2θ = 16.45°, I = 32.2
- 2θ = 37.68°, I = 27.2
- 2θ = 22.91°, I = 24.3
- 2θ = 11.92°, I = 19.2
- 2θ = 33.24°, I = 18.3
- 2θ = 45.08°, I = 13.4
- 2θ = 39.57°, I = 13.0
- 2θ = 30.76°, I = 12.5
- 2θ = 49.35°, I = 12.0